# 1
Tb2GaSn4: simulated XRD peak list (Cu Kα (λ = 1.5418 Å)), based on the PBE geometry in Alexandria.

Principal peaks in the range 2θ from 10° to 90°, in order of rising 2θ:
two_theta, I/Imax
28.54, 24
30.07, 22
34.42, 100
40.72, 42
50.49, 14
57.23, 22
58.95, 14
70.08, 26

Structural model:
```
data_Tb2GaSn4
_chemical_formula_sum 'Tb2 Ga1 Sn4'
_symmetry_space_group_name_H-M 'P -4 m 2'
_symmetry_Int_Tables_number 115
_cell_length_a 4.4318
_cell_length_b 4.4318
_cell_length_c 9.3758
_cell_angle_alpha 90.00
_cell_angle_beta 90.00
_cell_angle_gamma 90.00
loop_
_symmetry_equiv_pos_as_xyz
'x,y,z'
'y,-x,-z'
'-x,-y,z'
'-y,x,-z'
'-x,y,z'
'-y,-x,-z'
'x,-y,z'
'y,x,-z'
loop_
_atom_site_label
_atom_site_fract_x
_atom_site_fract_y
_atom_site_fract_z
Tb1 0.0000 0.5000 0.2346
Ga1 0.5000 0.5000 0.0000
Sn1 0.0000 0.0000 0.5000
Sn2 0.0000 0.5000 0.8206
Sn3 0.5000 0.5000 0.5000
```


# 2
Tb12Ga6Sn: simulated XRD peak list (Cu Kα (λ = 1.5418 Å)), based on the PBE geometry in Alexandria.

Principal peaks in the range 2θ from 10° to 90°, in order of rising 2θ:
two_theta, I/Imax
27.90, 30
30.63, 46
33.15, 100
35.51, 20
45.75, 18
52.79, 33
56.06, 34
65.24, 20

Structural model:
```
data_Tb12Ga6Sn
_chemical_formula_sum 'Tb24 Ga12 Sn2'
_symmetry_space_group_name_H-M 'I m -3'
_symmetry_Int_Tables_number 204
_symmetry_space_group_name_Hall '-I 2 2 3'
_cell_length_a 10.1125
_cell_length_b 10.1125
_cell_length_c 10.1125
_cell_angle_alpha 90.00
_cell_angle_beta 90.00
_cell_angle_gamma 90.00
loop_
_atom_site_label
_atom_site_fract_x
_atom_site_fract_y
_atom_site_fract_z
Tb1 0.0000 0.1884 0.2945
Ga1 0.0000 0.3777 0.5000
Sn1 0.0000 0.0000 0.0000
```